Theoretical powder X-ray diffraction pattern
Compound: CsTiF4
Radiation: Cu Ka
Structure: a DFT-relaxed cell (PBE, the Materials Project)
Intensities are scaled so that the largest is 100.

Peak list (10 most intense, 10 to 90 degrees two-theta, by angle)
(hkl)  two_theta  d [Å]  I/Imax
2 0 1  25.93  3.437  100
0 0 2  26.84  3.321  22
2 2 0  31.50  2.840  32
2 2 1  34.34  2.611  27
2 0 2  35.06  2.559  17
4 0 0  45.15  2.008  23
2 0 3  46.86  1.939  20
4 2 1  52.80  1.734  27
4 0 2  53.31  1.718  14
4 2 3  67.11  1.395  12

Crystal structure
Lattice parameters (Å, degrees): 8.032 8.032 6.642 90.00 90.00 90.00
Space group P4/nmm (No. 129, origin choice 2)
Symmetry-distinct sites (fractional):
Cs  0.250  0.250  0.052 (multiplicity 2)
Cs  0.250  0.750  0.000 (multiplicity 2)
Ti  0.000  0.000  0.500 (multiplicity 4)
F  0.002  0.750  0.546 (multiplicity 8)
F  0.030  0.030  0.785 (multiplicity 8)

***

Theoretical powder X-ray diffraction pattern
Compound: B4C
Radiation: Cu Ka
Structure: a DFT-relaxed cell (PBE, the Materials Project)
Intensities are scaled so that the largest is 100.

Peak list (10 most intense, 10 to 90 degrees two-theta, by angle)
(hkl)  two_theta  d [Å]  I/Imax
1 1 0  24.07  3.698  100
0 2 1  29.70  3.008  11
0 0 3  30.57  2.924  6
2 1 1  38.58  2.333  54
1 2 2  42.66  2.119  7
0 1 5  54.21  1.692  6
2 1 4  56.64  1.625  7
4 0 1  58.61  1.575  11
3 3 0  77.44  1.233  6
3 0 6  79.45  1.206  6

Crystal structure
Lattice parameters (Å, degrees): 7.3950 7.3950 8.7717 90.00 90.00 120.00
Space group R-3m (No. 166, hexagonal axes)
Symmetry-distinct sites (fractional):
B  0.0809  0.1618  0.0817 (multiplicity 18)
B  0.1015  0.5507  0.9371 (multiplicity 18)
C  0.0000  0.0000  0.3505 (multiplicity 6)
C  0.0000  0.0000  0.5000 (multiplicity 3)

***

Theoretical powder X-ray diffraction pattern
Compound: SmCdPd
Radiation: Cu Ka
Structure: a DFT-relaxed cell (PBE, the Materials Project)
Intensities are scaled so that the largest is 100.

Peak list (10 most intense, 10 to 90 degrees two-theta, by angle)
(hkl)  two_theta  d [Å]  I/Imax
1 1 1  32.33  2.769  100
2 0 1  35.06  2.559  87
2 1 0  35.44  2.533  48
3 0 0  40.38  2.234  37
2 1 1  42.34  2.135  24
0 0 2  45.75  1.983  24
3 1 1  54.53  1.683  16
2 1 2  59.17  1.561  21
3 0 2  62.64  1.483  20
3 2 1  65.07  1.433  31

Crystal structure
Lattice parameters (Å, degrees): 7.7378 7.7378 3.9661 90.00 90.00 120.00
Space group P-62m (No. 189)
Symmetry-distinct sites (fractional):
Sm  0.0000  0.5944  0.0000 (multiplicity 3)
Cd  0.0000  0.2547  0.5000 (multiplicity 3)
Pd  0.0000  0.0000  0.0000 (multiplicity 1)
Pd  0.3333  0.6667  0.5000 (multiplicity 2)

***

Theoretical powder X-ray diffraction pattern
Compound: CsLiCl2
Radiation: Cu Ka
Structure: a DFT-relaxed cell (PBE, the Materials Project)
Intensities are scaled so that the largest is 100.

Peak list (10 most intense, 10 to 90 degrees two-theta, by angle)
(hkl)  two_theta  d [Å]  I/Imax
1 0 1  20.17  4.402  96
1 1 0  25.46  3.498  67
1 1 1  27.12  3.289  55
0 0 3  27.74  3.216  50
1 1 2  31.59  2.832  100
2 0 0  36.32  2.473  61
1 1 3  38.00  2.368  30
2 1 1  41.89  2.156  31
2 0 3  46.31  1.961  45
1 1 5  54.29  1.690  30

Crystal structure
Lattice parameters (Å, degrees): 4.947 4.947 9.649 90.00 90.00 90.00
Space group P4/nmm (No. 129, origin choice 2)
Symmetry-distinct sites (fractional):
Cs  0.250  0.250  0.196 (multiplicity 2)
Li  0.250  0.250  0.585 (multiplicity 2)
Cl  0.250  0.250  0.830 (multiplicity 2)
Cl  0.250  0.750  0.500 (multiplicity 2)